Entry 1:
For Tb2TmMg3Pt2Au, a cell relaxed with PBE gives the computed X-ray powder pattern in this record (Cu Kα).
Peak positions follow from Bragg's law for the DFT cell and can differ from measured ones.

Atomic structure:
Lattice parameters (Å, degrees): 4.039 7.447 7.447 119.75 90.00 90.00
Element x y z (fractional)
Tb  0.000  0.208  0.792
Tb  0.000  0.792  0.208
Tm  0.000  0.377  0.377
Mg  0.500  0.044  0.044
Mg  0.500  0.540  0.791
Mg  0.500  0.791  0.540
Pt  0.500  0.130  0.458
Pt  0.500  0.458  0.130
Au  0.000  0.789  0.789

Top 12 peaks for 2θ from 5° to 70°, sorted by position:
23.87 deg, 3.728 Å, intensity 47.9
26.02 deg, 3.425 Å, intensity 25.0
27.59 deg, 3.233 Å, intensity 11.4
32.69 deg, 2.740 Å, intensity 58.7
35.60 deg, 2.522 Å, intensity 100.0
41.92 deg, 2.155 Å, intensity 23.5
42.09 deg, 2.147 Å, intensity 11.7
43.28 deg, 2.090 Å, intensity 24.7
44.88 deg, 2.020 Å, intensity 21.1
51.46 deg, 1.776 Å, intensity 12.6
63.08 deg, 1.474 Å, intensity 14.2
67.40 deg, 1.389 Å, intensity 16.0

Entry 2:
For Tm3Mg3ZnPtAu, a cell relaxed with PBE gives the computed X-ray powder pattern in this record (Cu Kα).
Peak positions follow from Bragg's law for the DFT cell and can differ from measured ones.

Atomic structure:
Lattice parameters (Å, degrees): 7.510 7.510 4.023 90.00 90.00 120.00
Element x y z (fractional)
Tm  0.089  0.736  0.000
Tm  0.264  0.353  0.000
Tm  0.647  0.911  0.000
Mg  0.415  0.084  0.500
Mg  0.669  0.585  0.500
Mg  0.916  0.331  0.500
Zn  0.000  0.000  0.500
Pt  0.333  0.667  0.500
Au  0.667  0.333  0.000

Top 12 peaks for 2θ from 5° to 70°, sorted by position:
13.62 deg, 6.504 Å, intensity 21.8
23.69 deg, 3.755 Å, intensity 37.6
26.04 deg, 3.422 Å, intensity 18.2
27.43 deg, 3.252 Å, intensity 27.7
32.62 deg, 2.745 Å, intensity 54.0
35.50 deg, 2.529 Å, intensity 100.0
41.66 deg, 2.168 Å, intensity 31.6
43.13 deg, 2.098 Å, intensity 39.8
45.07 deg, 2.012 Å, intensity 20.1
55.86 deg, 1.646 Å, intensity 17.9
63.04 deg, 1.475 Å, intensity 18.6
66.88 deg, 1.399 Å, intensity 26.4